Starting from a structure optimized by DFT (GGA-PBE), the PXRD pattern of Mn2Sb2PtRh was simulated for CuKα.
Neutral-atom scattering factors, no anomalous dispersion.

Peak list (12 most intense, 5 to 70 degrees two-theta, by angle)
| 2θ/deg | I/Imax |
| --- | --- |
| 22.9 | 13.7 |
| 25.7 | 100.0 |
| 29.0 | 16.5 |
| 39.7 | 98.2 |
| 43.1 | 88.6 |
| 46.3 | 42.7 |
| 49.4 | 11.1 |
| 50.9 | 15.5 |
| 60.0 | 28.4 |
| 65.1 | 15.2 |
| 68.9 | 12.6 |
| 69.5 | 11.8 |

Structure:
Cell: 8.1377 8.1377 8.1377 Å, 29.86 29.86 29.86°
Element x y z (fractional)
Mn 0.0000 0.0000 0.0000
Mn 0.4996 0.4996 0.4996
Sb 0.1138 0.1138 0.1138
Sb 0.6170 0.6170 0.6170
Pt 0.2294 0.2294 0.2294
Rh 0.7321 0.7321 0.7321



Starting from a structure optimized by DFT (GGA-PBE), the PXRD pattern of Ti5MnPt2Rh2 was simulated for CuKα.
Neutral-atom scattering factors, no anomalous dispersion.

Peak list (12 most intense, 5 to 70 degrees two-theta, by angle)
| 2θ/deg | I/Imax |
| --- | --- |
| 11.9 | 23.0 |
| 18.9 | 17.3 |
| 26.9 | 29.6 |
| 30.8 | 16.8 |
| 34.2 | 43.7 |
| 36.3 | 29.3 |
| 38.3 | 17.0 |
| 41.3 | 100.0 |
| 46.6 | 13.5 |
| 48.3 | 35.9 |
| 49.1 | 21.1 |
| 52.3 | 19.3 |

Structure:
Cell: 10.4989 10.4989 2.9063 Å, 90.00 90.00 90.00°
Element x y z (fractional)
Ti 0.0000 0.5000 0.0000
Ti 0.1293 0.1492 0.0000
Ti 0.1492 0.8707 0.0000
Ti 0.3508 0.3707 0.0000
Ti 0.3707 0.6492 0.0000
Ti 0.5000 0.0000 0.0000
Ti 0.6293 0.3508 0.0000
Ti 0.6492 0.6293 0.0000
Ti 0.8508 0.1293 0.0000
Ti 0.8707 0.8508 0.0000
Mn 0.0000 0.0000 0.5000
Mn 0.5000 0.5000 0.5000
Pt 0.1533 0.6533 0.5000
Pt 0.3467 0.1533 0.5000
Pt 0.6533 0.8467 0.5000
Pt 0.8467 0.3467 0.5000
Rh 0.1447 0.3553 0.5000
Rh 0.3553 0.8553 0.5000
Rh 0.6447 0.1447 0.5000
Rh 0.8553 0.6447 0.5000



Starting from a structure optimized by DFT (GGA-PBE), the PXRD pattern of TiMnPt2Rh was simulated for CuKα.
Neutral-atom scattering factors, no anomalous dispersion.

Peak list (12 most intense, 5 to 70 degrees two-theta, by angle)
| 2θ/deg | I/Imax |
| --- | --- |
| 19.2 | 12.5 |
| 20.5 | 31.3 |
| 27.3 | 11.3 |
| 34.4 | 100.0 |
| 38.9 | 54.1 |
| 41.7 | 22.2 |
| 44.4 | 17.7 |
| 50.6 | 4.8 |
| 56.2 | 18.4 |
| 58.4 | 32.7 |
| 60.5 | 7.2 |
| 67.6 | 28.5 |

Structure:
Cell: 4.6267 4.6267 4.3273 Å, 90.00 90.00 90.00°
Element x y z (fractional)
Ti 0.0000 0.0000 0.0000
Mn 0.5000 0.5000 0.5000
Pt 0.0000 0.5000 0.5000
Pt 0.5000 0.0000 0.5000
Rh 0.5000 0.5000 0.0000



Starting from a structure optimized by DFT (GGA-PBE), the PXRD pattern of MnRu4Pt was simulated for CuKα.
Neutral-atom scattering factors, no anomalous dispersion.

Peak list (10 most intense, 5 to 70 degrees two-theta, by angle)
| 2θ/deg | I/Imax |
| --- | --- |
| 21.5 | 12.5 |
| 24.8 | 11.0 |
| 35.4 | 31.5 |
| 41.8 | 100.0 |
| 43.7 | 35.5 |
| 50.9 | 2.4 |
| 55.9 | 2.8 |
| 57.5 | 5.2 |
| 63.6 | 11.3 |
| 67.9 | 30.9 |

Structure:
Cell: 5.0700 5.0700 5.0700 Å, 60.00 60.00 60.00°
Element x y z (fractional)
Mn 0.0000 0.0000 0.0000
Ru 0.1262 0.6246 0.6246
Ru 0.6246 0.1262 0.6246
Ru 0.6246 0.6246 0.1262
Ru 0.6246 0.6246 0.6246
Pt 0.2500 0.2500 0.2500



Starting from a structure optimized by DFT (GGA-PBE), the PXRD pattern of Mn6RuPt was simulated for CuKα.
Neutral-atom scattering factors, no anomalous dispersion.

Peak list (12 most intense, 5 to 70 degrees two-theta, by angle)
| 2θ/deg | I/Imax |
| --- | --- |
| 11.9 | 7.8 |
| 24.0 | 27.5 |
| 26.9 | 6.4 |
| 34.2 | 22.7 |
| 36.4 | 4.8 |
| 42.2 | 100.0 |
| 44.1 | 1.8 |
| 49.2 | 47.3 |
| 50.8 | 1.7 |
| 55.4 | 12.3 |
| 56.9 | 1.8 |
| 61.3 | 9.3 |

Structure:
Cell: 3.7079 3.7079 7.4094 Å, 90.00 90.00 90.00°
Element x y z (fractional)
Mn 0.0000 0.0000 0.0000
Mn 0.0000 0.0000 0.5000
Mn 0.0000 0.5000 0.2445
Mn 0.0000 0.5000 0.7555
Mn 0.5000 0.0000 0.2445
Mn 0.5000 0.0000 0.7555
Ru 0.5000 0.5000 0.0000
Pt 0.5000 0.5000 0.5000



Starting from a structure optimized by DFT (GGA-PBE), the PXRD pattern of MnSb2Pt was simulated for CuKα.
Neutral-atom scattering factors, no anomalous dispersion.

Peak list (12 most intense, 5 to 70 degrees two-theta, by angle)
| 2θ/deg | I/Imax |
| --- | --- |
| 17.2 | 36.3 |
| 33.3 | 100.0 |
| 33.5 | 89.3 |
| 34.8 | 50.4 |
| 35.4 | 23.0 |
| 41.4 | 49.4 |
| 41.6 | 52.9 |
| 41.9 | 55.2 |
| 44.3 | 45.1 |
| 48.0 | 35.6 |
| 57.5 | 23.4 |
| 67.4 | 25.4 |

Structure:
Cell: 3.7894 4.0867 5.4836 Å, 90.00 109.70 90.00°
Element x y z (fractional)
Mn 0.0000 0.0000 0.0000
Sb 0.4412 0.5000 0.8811
Sb 0.7366 0.0000 0.4570
Pt 0.1798 0.5000 0.3406



Starting from a structure optimized by DFT (GGA-PBE), the PXRD pattern of MnSn2SbPt was simulated for CuKα.
Neutral-atom scattering factors, no anomalous dispersion.

Peak list (12 most intense, 5 to 70 degrees two-theta, by angle)
| 2θ/deg | I/Imax |
| --- | --- |
| 18.1 | 12.8 |
| 18.4 | 26.3 |
| 28.7 | 100.0 |
| 30.8 | 53.0 |
| 39.7 | 28.7 |
| 40.1 | 10.5 |
| 40.6 | 15.8 |
| 41.4 | 37.3 |
| 42.3 | 46.1 |
| 42.8 | 61.8 |
| 45.8 | 17.9 |
| 52.5 | 24.6 |

Structure:
Cell: 5.2750 4.3655 5.3450 Å, 90.00 113.73 90.00°
Element x y z (fractional)
Mn 0.0000 0.0000 0.0000
Sn 0.2119 0.5000 0.3305
Sn 0.7881 0.5000 0.6695
Sb 0.5000 0.0000 0.0000
Pt 0.0000 0.0000 0.5000



Starting from a structure optimized by DFT (GGA-PBE), the PXRD pattern of MnPtSe was simulated for CuKα.
Neutral-atom scattering factors, no anomalous dispersion.

Peak list (8 most intense, 5 to 70 degrees two-theta, by angle)
| 2θ/deg | I/Imax |
| --- | --- |
| 25.1 | 87.4 |
| 29.1 | 3.5 |
| 41.6 | 100.0 |
| 49.2 | 43.6 |
| 51.6 | 1.2 |
| 60.3 | 16.5 |
| 66.4 | 18.0 |
| 68.4 | 1.8 |

Structure:
Cell: 6.1364 6.1364 6.1364 Å, 90.00 90.00 90.00°
Element x y z (fractional)
Mn 0.0000 0.0000 0.0000
Mn 0.0000 0.5000 0.5000
Mn 0.5000 0.0000 0.5000
Mn 0.5000 0.5000 0.0000
Pt 0.2500 0.2500 0.7500
Pt 0.2500 0.7500 0.2500
Pt 0.7500 0.2500 0.2500
Pt 0.7500 0.7500 0.7500
Se 0.0000 0.0000 0.5000
Se 0.0000 0.5000 0.0000
Se 0.5000 0.0000 0.0000
Se 0.5000 0.5000 0.5000



Starting from a structure optimized by DFT (GGA-PBE), the PXRD pattern of Mn2PtSe6 was simulated for CuKα.
Neutral-atom scattering factors, no anomalous dispersion.

Peak list (12 most intense, 5 to 70 degrees two-theta, by angle)
| 2θ/deg | I/Imax |
| --- | --- |
| 11.2 | 12.0 |
| 13.6 | 93.4 |
| 28.8 | 12.7 |
| 34.0 | 100.0 |
| 43.4 | 26.7 |
| 47.1 | 21.7 |
| 47.3 | 10.7 |
| 50.3 | 11.5 |
| 50.6 | 22.3 |
| 52.6 | 11.2 |
| 59.8 | 10.4 |
| 62.2 | 11.2 |

Structure:
Cell: 8.5354 8.5354 7.7218 Å, 108.40 108.40 24.54°
Element x y z (fractional)
Mn 0.1695 0.1695 0.3369
Mn 0.8305 0.8305 0.6631
Pt 0.5000 0.5000 0.0000
Se 0.0118 0.0118 0.2337
Se 0.3263 0.3263 0.4379
Se 0.3394 0.3394 0.8911
Se 0.6606 0.6606 0.1089
Se 0.6737 0.6737 0.5621
Se 0.9882 0.9882 0.7663



Starting from a structure optimized by DFT (GGA-PBE), the PXRD pattern of MnTlPtSe was simulated for CuKα.
Neutral-atom scattering factors, no anomalous dispersion.

Peak list (12 most intense, 5 to 70 degrees two-theta, by angle)
| 2θ/deg | I/Imax |
| --- | --- |
| 11.7 | 35.3 |
| 29.0 | 21.7 |
| 32.8 | 100.0 |
| 34.9 | 26.8 |
| 35.5 | 12.4 |
| 40.1 | 9.8 |
| 43.1 | 34.7 |
| 50.8 | 32.6 |
| 53.1 | 7.5 |
| 60.7 | 8.6 |
| 61.8 | 16.2 |
| 63.5 | 14.3 |

Structure:
Cell: 6.2140 3.5955 7.8696 Å, 90.00 105.23 90.00°
Element x y z (fractional)
Mn 0.0000 0.0000 0.0000
Mn 0.5000 0.5000 0.0000
Tl 0.4875 0.0000 0.4669
Tl 0.9875 0.5000 0.4669
Pt 0.2331 0.5000 0.2000
Pt 0.7331 0.0000 0.2000
Se 0.2729 0.0000 0.8169
Se 0.7729 0.5000 0.8169



Starting from a structure optimized by DFT (GGA-PBE), the PXRD pattern of Mn2Si2Pt was simulated for CuKα.
Neutral-atom scattering factors, no anomalous dispersion.

Peak list (12 most intense, 5 to 70 degrees two-theta, by angle)
| 2θ/deg | I/Imax |
| --- | --- |
| 20.0 | 74.5 |
| 25.9 | 21.9 |
| 28.5 | 33.9 |
| 33.0 | 100.0 |
| 38.9 | 89.6 |
| 40.7 | 32.8 |
| 41.6 | 43.2 |
| 45.8 | 81.0 |
| 48.9 | 25.4 |
| 53.2 | 20.9 |
| 53.4 | 36.5 |
| 69.2 | 20.1 |

Structure:
Cell: 6.2646 6.2646 3.4412 Å, 90.00 90.00 90.00°
Element x y z (fractional)
Mn 0.1608 0.3392 0.0000
Mn 0.3392 0.8392 0.0000
Mn 0.6608 0.1608 0.0000
Mn 0.8392 0.6608 0.0000
Si 0.1339 0.6339 0.5000
Si 0.3661 0.1339 0.5000
Si 0.6339 0.8661 0.5000
Si 0.8661 0.3661 0.5000
Pt 0.0000 0.0000 0.5000
Pt 0.5000 0.5000 0.5000



Starting from a structure optimized by DFT (GGA-PBE), the PXRD pattern of Tm2MnSi4Pt3 was simulated for CuKα.
Neutral-atom scattering factors, no anomalous dispersion.

Peak list (12 most intense, 5 to 70 degrees two-theta, by angle)
| 2θ/deg | I/Imax |
| --- | --- |
| 25.7 | 20.3 |
| 28.1 | 58.4 |
| 31.5 | 33.5 |
| 32.7 | 42.0 |
| 34.2 | 89.0 |
| 36.1 | 100.0 |
| 45.2 | 65.7 |
| 49.4 | 45.6 |
| 54.1 | 20.0 |
| 57.9 | 39.9 |
| 65.8 | 21.5 |
| 69.2 | 33.6 |

Structure:
Cell: 4.0132 4.0132 10.3876 Å, 90.00 90.00 90.00°
Element x y z (fractional)
Tm 0.0000 0.5000 0.2422
Tm 0.5000 0.0000 0.7578
Mn 0.5000 0.5000 0.0000
Si 0.0000 0.0000 0.5000
Si 0.0000 0.5000 0.8651
Si 0.5000 0.0000 0.1349
Si 0.5000 0.5000 0.5000
Pt 0.0000 0.0000 0.0000
Pt 0.0000 0.5000 0.6336
Pt 0.5000 0.0000 0.3664